The following is a calculated powder diffraction line list of LiTiFe5O8. It was derived from a DFT-relaxed cell (GGA+U, Alexandria), using CuKα.

```
data_LiTiFe5O8
_space_group_name_H-M_alt 'P 1'
_space_group_IT_number 1
_space_group_name_Hall 'P 1'
_cell_length_a 5.8550
_cell_length_b 5.8550
_cell_length_c 6.6810
_cell_angle_alpha 121.19
_cell_angle_beta 121.19
_cell_angle_gamma 62.84
loop_
_atom_site_label
_atom_site_type_symbol
_atom_site_fract_x
_atom_site_fract_y
_atom_site_fract_z
Li1 Li 0.0000 0.0000 0.0000
Ti1 Ti 0.5000 0.5000 0.5000
Fe1 Fe 0.0000 0.5000 0.0000
Fe2 Fe 0.1842 0.1842 0.4688
Fe3 Fe 0.5000 0.0000 0.0000
Fe4 Fe 0.5000 0.5000 0.0000
Fe5 Fe 0.8158 0.8158 0.5312
O1 O 0.2374 0.6894 0.6882
O2 O 0.2495 0.2495 0.2344
O3 O 0.2545 0.2545 0.8106
O4 O 0.3106 0.7626 0.3118
O5 O 0.6894 0.2374 0.6882
O6 O 0.7455 0.7455 0.1894
O7 O 0.7505 0.7505 0.7656
O8 O 0.7626 0.3106 0.3118
```

Largest 6 diffraction maxima, most intense first, 10° ≤ 2θ ≤ 90°:
2θ (°), d_spacing, Rel. int.
34.58, 2.594, 100
37.01, 2.429, 87
40.07, 2.250, 81
33.87, 2.646, 74
33.37, 2.685, 67
33.76, 2.655, 65